Simulated powder diffraction line list of Li9Mn2Co5O16 for Cu Kα X-rays, from DFT lattice parameters and positions (GGA+U).
Kinematic intensities with the Lorentz-polarization factor, no thermal factor.

Top 6 peaks for 2θ = 10–80°, in order of rising 2θ:
two_theta  intensity  (hkl)
18.27  100  0 0 2
35.58  16  4 0 -2
36.12  27  2 1 0
42.98  28  4 0 -4
43.73  55  2 1 2
62.74  15  2 1 -6

Structure:
```
data_Li9Mn2Co5O16
_symmetry_space_group_name_H-M 'P 1 m 1'
_symmetry_Int_Tables_number 6
_cell_length_a 10.2299
_cell_length_b 2.9056
_cell_length_c 10.3286
_cell_angle_alpha 90.00
_cell_angle_beta 109.94
_cell_angle_gamma 90.00
loop_
_symmetry_equiv_pos_as_xyz
'x,y,z'
'x,-y,z'
loop_
_atom_site_label
_atom_site_fract_x
_atom_site_fract_y
_atom_site_fract_z
Li1 0.0000 0.0000 0.0000
Li2 0.0002 0.0000 0.4795
Li3 0.2502 0.5000 0.9950
Li4 0.2551 0.5000 0.4859
Li5 0.5066 0.0000 0.4867
Li6 0.5173 0.0000 0.0016
Li7 0.7526 0.5000 0.0042
Li8 0.7536 0.0000 0.2376
Li9 0.7603 0.5000 0.4819
Mn1 0.2562 0.0000 0.7416
Mn2 0.5107 0.5000 0.2372
Co1 0.2499 0.0000 0.2428
Co2 0.5119 0.5000 0.7418
Co3 0.7495 0.0000 0.7412
Co4 0.9898 0.5000 0.2498
Co5 0.9987 0.5000 0.7422
O1 0.1258 0.0000 0.3554
O2 0.1304 0.0000 0.8513
O3 0.1383 0.5000 0.1284
O4 0.1443 0.5000 0.6305
O5 0.3633 0.5000 0.8543
O6 0.3781 0.0000 0.6312
O7 0.3803 0.5000 0.3523
O8 0.3890 0.0000 0.1302
O9 0.6157 0.0000 0.3504
O10 0.6168 0.5000 0.1247
O11 0.6260 0.0000 0.8607
O12 0.6370 0.5000 0.6202
O13 0.8761 0.5000 0.8562
O14 0.8901 0.0000 0.6274
O15 0.8900 0.5000 0.3641
O16 0.8915 0.0000 0.1281
```

***

Simulated powder diffraction line list of Li9Mn2Co5O16 for Cu Kα X-rays, from DFT lattice parameters and positions (GGA+U).
Kinematic intensities with the Lorentz-polarization factor, no thermal factor.

Top 6 peaks for 2θ = 10–80°, in order of rising 2θ:
two_theta  intensity  (hkl)
18.30  100  0 2 0
34.40  19  1 0 2
35.82  13  1 1 -2
41.36  34  1 -2 2
43.53  28  1 3 -2
44.91  25  0 3 4

Structure:
```
data_Li9Mn2Co5O16
_symmetry_space_group_name_H-M 'P -1'
_symmetry_Int_Tables_number 2
_cell_length_a 3.0270
_cell_length_b 9.7773
_cell_length_c 9.9981
_cell_angle_alpha 87.26
_cell_angle_beta 88.01
_cell_angle_gamma 83.01
loop_
_symmetry_equiv_pos_as_xyz
'x,y,z'
'-x,-y,-z'
loop_
_atom_site_label
_atom_site_fract_x
_atom_site_fract_y
_atom_site_fract_z
Li1 0.0000 0.0000 0.0000
Li2 0.1210 0.7540 0.1884
Li3 0.1240 0.7538 0.6883
Li4 0.3794 0.2429 0.0641
Li5 0.3816 0.2478 0.5639
Mn1 0.2392 0.4996 0.3730
Co1 0.0000 0.0000 0.5000
Co2 0.2580 0.5011 0.8775
Co3 0.4997 0.0008 0.2416
O1 0.0858 0.8859 0.8354
O2 0.0922 0.8866 0.3478
O3 0.1579 0.6185 0.5279
O4 0.1959 0.6171 0.0285
O5 0.2880 0.3847 0.2175
O6 0.3521 0.3839 0.7237
O7 0.4412 0.1148 0.8878
O8 0.4511 0.1090 0.3991
```

***

Simulated powder diffraction line list of Mn15Br6O20 for Cu Kα X-rays, from DFT lattice parameters and positions (GGA+U).
Kinematic intensities with the Lorentz-polarization factor, no thermal factor.

Top 6 peaks for 2θ = 10–80°, in order of rising 2θ:
two_theta  intensity  (hkl)
26.72  46  4 0 0
29.17  35  3 3 1
34.94  100  3 3 3
45.07  25  6 2 2
58.71  40  6 6 0
70.18  24  9 3 3

Structure:
```
data_Mn15Br6O20
_symmetry_space_group_name_H-M 'F m -3 m'
_symmetry_Int_Tables_number 225
_symmetry_space_group_name_Hall '-F 4 2 3'
_cell_length_a 13.3434
_cell_length_b 13.3434
_cell_length_c 13.3434
_cell_angle_alpha 90.00
_cell_angle_beta 90.00
_cell_angle_gamma 90.00
loop_
_atom_site_label
_atom_site_fract_x
_atom_site_fract_y
_atom_site_fract_z
Mn1 0.0000 0.0000 0.0000
Mn2 0.0000 0.1751 0.1751
Mn3 0.2500 0.2500 0.2500
Br1 0.0000 0.0000 0.2996
O1 0.0979 0.2500 0.2500
O2 0.0997 0.0997 0.0997
```

***

Simulated powder diffraction line list of CoI2O10 for Cu Kα X-rays, from DFT lattice parameters and positions (GGA+U).
Kinematic intensities with the Lorentz-polarization factor, no thermal factor.

Top 6 peaks for 2θ = 10–80°, in order of rising 2θ:
two_theta  intensity  (hkl)
18.26  100  1 1 0
22.04  77  0 0 2
22.18  43  1 1 1
27.43  91  1 1 -2
32.06  31  1 2 -1
35.47  30  3 0 0

Structure:
```
data_CoI2O10
_symmetry_space_group_name_H-M 'P 1 21/c 1'
_symmetry_Int_Tables_number 14
_cell_length_a 7.6662
_cell_length_b 6.3222
_cell_length_c 8.1442
_cell_angle_alpha 90.00
_cell_angle_beta 97.97
_cell_angle_gamma 90.00
loop_
_symmetry_equiv_pos_as_xyz
'x,y,z'
'-x,-y,-z'
'-x,y+1/2,-z+1/2'
'x,-y+1/2,z+1/2'
loop_
_atom_site_label
_atom_site_fract_x
_atom_site_fract_y
_atom_site_fract_z
Co1 0.0000 0.0000 0.0000
I1 0.3410 0.1923 0.5388
O1 0.0788 0.5844 0.3164
O2 0.0934 0.2192 0.4828
O3 0.2128 0.5883 0.5814
O4 0.3335 0.5677 0.9396
O5 0.3509 0.1193 0.7584
```

***

Simulated powder diffraction line list of K4CoMo3O12 for Cu Kα X-rays, from DFT lattice parameters and positions (GGA+U).
Kinematic intensities with the Lorentz-polarization factor, no thermal factor.

Top 6 peaks for 2θ = 10–80°, in order of rising 2θ:
two_theta  intensity  (hkl)
17.47  47  1 1 0
25.77  67  -2 2 1
27.89  100  0 1 -3
27.98  81  0 3 -1
28.34  59  0 2 2
28.86  100  2 1 0

Structure:
```
data_K4CoMo3O12
_symmetry_space_group_name_H-M 'P -1'
_symmetry_Int_Tables_number 2
_cell_length_a 7.9658
_cell_length_b 10.0985
_cell_length_c 10.1689
_cell_angle_alpha 93.99
_cell_angle_beta 106.68
_cell_angle_gamma 105.96
loop_
_symmetry_equiv_pos_as_xyz
'x,y,z'
'-x,-y,-z'
loop_
_atom_site_label
_atom_site_fract_x
_atom_site_fract_y
_atom_site_fract_z
K1 0.0000 0.0000 0.0000
K2 0.1429 0.8868 0.5675
K3 0.2478 0.4748 0.5267
K4 0.2834 0.7752 0.2382
K5 0.5000 0.0000 0.0000
Co1 0.3328 0.4420 0.1335
Mo1 0.1162 0.6099 0.8484
Mo2 0.2713 0.2661 0.8204
Mo3 0.3765 0.1829 0.3609
O1 0.0592 0.2686 0.7007
O2 0.1060 0.6307 0.6730
O3 0.1126 0.4927 0.1540
O4 0.1820 0.7783 0.9503
O5 0.2016 0.1302 0.4407
O6 0.2648 0.2716 0.9994
O7 0.2857 0.5240 0.9191
O8 0.2891 0.0961 0.7868
O9 0.3333 0.0532 0.2153
O10 0.3810 0.3551 0.3121
O11 0.4046 0.7962 0.5133
O12 0.4684 0.3790 0.7811
```

***

Simulated powder diffraction line list of CrFe3Ni2P6O24 for Cu Kα X-rays, from DFT lattice parameters and positions (GGA+U).
Kinematic intensities with the Lorentz-polarization factor, no thermal factor.

Top 6 peaks for 2θ = 10–80°, in order of rising 2θ:
two_theta  intensity  (hkl)
20.62  94  1 1 0
24.41  100  1 1 3
33.43  75  2 -1 6
36.12  43  3 0 0
47.90  34  3 -2 8
50.03  29  4 -2 6

Structure:
```
data_CrFe3Ni2P6O24
_symmetry_space_group_name_H-M 'R 3'
_symmetry_Int_Tables_number 146
_symmetry_space_group_name_Hall 'R 3'
_cell_length_a 8.6139
_cell_length_b 8.6139
_cell_length_c 20.5510
_cell_angle_alpha 90.00
_cell_angle_beta 90.00
_cell_angle_gamma 120.00
loop_
_atom_site_label
_atom_site_fract_x
_atom_site_fract_y
_atom_site_fract_z
Cr1 0.0000 0.0000 0.0000
Fe1 0.0000 0.0000 0.2860
Fe2 0.0000 0.0000 0.4976
Fe3 0.0000 0.0000 0.7860
Ni1 0.0000 0.0000 0.1431
Ni2 0.0000 0.0000 0.6424
P1 0.9998 0.2970 0.3913
P2 0.9999 0.7047 0.8919
O1 0.0031 0.2016 0.4532
O2 0.0092 0.8127 0.9542
O3 0.0129 0.1760 0.0655
O4 0.0196 0.8354 0.5695
O5 0.1403 0.4623 0.9965
O6 0.1417 0.6761 0.4976
O7 0.1645 0.4880 0.3826
O8 0.1666 0.6815 0.8838
```